Starting from a PBE-relaxed structure, the X-ray diffraction stick pattern of LiCuP4Ru2O14 was calculated for Cu Kα.
Lines closer than 0.1° are merged.

```
22
Lattice="4.9322 0.0000 0.0000 -1.8797 6.6375 0.0000 -0.6255 -0.7144 8.4424" Properties=species:S:1:pos:R:3 pbc="T T T"
Li 0.0000 0.0000 0.0000
Cu -0.2347 1.2079 6.1435
P -0.4086 2.9465 0.6264
P -1.3409 4.7391 5.3767
P 0.6746 5.5076 1.4924
P 2.4682 2.1651 4.4957
Ru 0.0522 0.4993 2.9789
Ru 1.2928 3.5017 7.2147
O -1.1279 6.0470 4.6290
O -0.6672 6.2728 1.5180
O 0.0059 2.0073 7.8956
O 0.3304 3.9283 1.6582
O -0.0329 4.0756 5.7833
O 1.5316 1.8738 3.3418
O 1.2991 5.7115 0.0957
O 1.9037 1.9724 5.9192
O 1.6066 5.7922 2.6557
O 3.2523 3.6398 0.1886
O 2.8746 3.7163 4.3361
O 3.7915 1.3251 4.4283
O 2.6118 4.9610 6.5800
O 4.2937 1.6026 1.3024
```

The 6 most intense peaks (2θ = 10–90°), in order of falling intensity:
16.3 deg, intensity 100; 28.6 deg, intensity 52; 19.8 deg, intensity 35; 26.0 deg, intensity 34; 30.1 deg, intensity 30; 37.6 deg, intensity 29

Starting from a PBE-relaxed structure, the X-ray diffraction stick pattern of K3AlP2 was calculated for Cu Kα.
Lines closer than 0.1° are merged.

```
48
Lattice="8.9465 0.0000 0.0000 3.7170 11.3551 0.0000 4.3907 3.3813 14.2634" Properties=species:S:1:pos:R:3 pbc="T T T"
K 1.8397 4.5362 1.1971
K 4.6169 7.0824 9.4375
K 1.6760 1.7590 3.4929
K 5.2474 3.6860 11.5055
K 7.1495 12.0093 6.7859
K 7.2718 5.8748 12.5811
K 6.4083 9.2750 2.5761
K 5.1744 5.1746 2.7337
K 7.2665 8.6481 6.8065
K 8.4566 9.1043 10.5834
K 10.4125 12.4694 9.3007
K 5.0991 1.5065 1.2009
K 11.9550 13.2299 13.0625
K 6.6417 2.2670 4.9627
K 8.5976 5.6321 3.6800
K 9.7876 6.0883 7.4568
K 11.8798 9.5618 11.5297
K 10.6458 5.4614 11.6872
K 9.7824 8.8616 1.6822
K 9.9047 2.7271 7.4774
K 11.8067 11.0504 2.7579
K 15.3781 12.9774 10.7705
K 12.4372 7.6539 4.8258
K 15.2144 10.2002 13.0663
Al 8.3886 13.1078 14.1390
Al 4.2019 4.5338 6.3553
Al 9.7174 10.3046 14.1245
Al 6.4651 4.4643 8.1818
Al 10.5891 10.2721 6.0816
Al 7.3368 4.4318 0.1388
Al 12.8523 10.2026 7.9080
Al 8.6656 1.6286 0.1244
P 5.6346 10.2390 9.3577
P 3.7776 7.8916 1.4823
P 4.3177 3.4609 8.4223
P 1.7321 0.2935 0.5401
P 9.1991 11.7813 12.2501
P 6.3041 5.6100 6.1233
P 9.3735 7.9282 13.6887
P 8.9198 10.4302 4.5543
P 8.1344 4.3062 9.7091
P 7.6806 6.8082 0.5747
P 10.7501 9.1264 8.1401
P 7.8550 2.9551 2.0133
P 15.3221 14.4428 13.7233
P 12.7364 11.2755 5.8411
P 13.2765 6.8448 12.7811
P 11.4196 4.4974 4.9057
```

The 6 most intense peaks (2θ = 10–90°), in order of falling intensity:
31.3 deg, intensity 100; 32.7 deg, intensity 60; 28.8 deg, intensity 43; 32.5 deg, intensity 42; 30.1 deg, intensity 36; 25.3 deg, intensity 33